Record 1
Theoretical XRD peak list of ZrCuF6 for a wavelength of 1.5418 Å, from a crystal structure in the Materials Project, relaxed with GGA-PBE.
Neutral-atom scattering factors, no anomalous dispersion.

Structural model:
```
8
Lattice="5.6266 0.0000 0.0000 -0.0566 5.6299 0.0000 -2.7318 -2.7807 4.2245" Properties=species:S:1:pos:R:3 pbc="T T T"
Zr 0.0000 0.0000 0.0000
Cu 2.7850 2.8150 0.0000
F -0.1956 -0.1856 1.9900
F 1.4257 4.2071 0.0132
F 1.4108 1.4711 0.2933
F 1.4275 1.3782 3.9313
F 1.4126 -1.3578 4.2113
F 3.0339 3.0349 2.2346
```

Most intense lines, 2θ from 10° to 90°, by intensity:
- 2θ = 21.0°, 4.225 Å, I 100
- 2θ = 22.2°, 4.000 Å, I 90
- 2θ = 22.5°, 3.959 Å, I 84
- 2θ = 30.7°, 2.910 Å, I 31
- 2θ = 51.2°, 1.784 Å, I 25
- 2θ = 42.8°, 2.112 Å, I 25
- 2θ = 31.8°, 2.814 Å, I 24
- 2θ = 45.3°, 2.000 Å, I 23

Record 2
Theoretical XRD peak list of ZrCuF6 for a wavelength of 1.5418 Å, from a crystal structure in the Materials Project, relaxed with GGA-PBE.
Neutral-atom scattering factors, no anomalous dispersion.

Structural model:
```
8
Lattice="0.0000 4.0700 4.0700 4.0700 0.0000 4.0700 4.0700 4.0700 0.0000" Properties=species:S:1:pos:R:3 pbc="T T T"
Zr 0.0000 0.0000 0.0000
Cu 4.0700 4.0700 4.0700
F 4.0700 4.0700 2.0367
F 4.0700 2.0367 4.0700
F 6.1034 4.0700 4.0700
F 2.0367 4.0700 4.0700
F 4.0700 6.1034 4.0700
F 4.0700 4.0700 6.1034
```

Most intense lines, 2θ from 10° to 90°, by intensity:
- 2θ = 21.8°, 4.070 Å, I 100
- 2θ = 50.1°, 1.820 Å, I 39
- 2θ = 31.1°, 2.878 Å, I 29
- 2θ = 44.5°, 2.035 Å, I 27
- 2θ = 69.3°, 1.357 Å, I 17
- 2θ = 64.8°, 1.439 Å, I 15
- 2θ = 55.3°, 1.662 Å, I 12
- 2θ = 86.1°, 1.129 Å, I 7

Record 3
Theoretical XRD peak list of ZrCuF3 for a wavelength of 1.5418 Å, from a crystal structure in the Materials Project, relaxed with GGA-PBE.
Neutral-atom scattering factors, no anomalous dispersion.

Structural model:
```
20
Lattice="3.3993 0.0000 0.0000 -1.4998 5.3399 0.0000 -0.4133 -2.0439 19.5406" Properties=species:S:1:pos:R:3 pbc="T T T"
Zr 0.0000 0.0000 0.0000
Zr -0.5088 1.1432 14.7311
Zr -0.3496 4.2938 9.8871
Zr 1.3425 2.1081 4.9504
Cu -0.1737 0.9486 6.6733
Cu 0.1102 4.1974 1.7442
Cu 1.2921 0.0945 16.5487
Cu 1.5182 3.0905 11.5995
F -0.5219 1.7151 0.8003
F 0.1370 -0.0982 8.3747
F 0.1594 -0.2227 13.4882
F 0.3325 3.0338 3.4228
F 0.3151 2.9299 8.6553
F 1.0175 -1.2166 18.2327
F 0.1507 2.8533 15.4237
F 1.9614 0.6654 3.7718
F 0.9852 1.8284 18.3079
F 2.0274 0.5793 10.5900
F 1.6326 2.0180 13.3286
F 2.0006 3.7980 5.7224
```

Most intense lines, 2θ from 10° to 90°, by intensity:
- 2θ = 19.8°, 4.475 Å, I 100
- 2θ = 18.2°, 4.885 Å, I 46
- 2θ = 30.0°, 2.980 Å, I 44
- 2θ = 30.9°, 2.891 Å, I 43
- 2θ = 40.3°, 2.237 Å, I 27
- 2θ = 47.9°, 1.899 Å, I 27
- 2θ = 30.7°, 2.915 Å, I 23
- 2θ = 36.7°, 2.449 Å, I 16

Record 4
Theoretical XRD peak list of FeCu3 for a wavelength of 1.5418 Å, from a crystal structure in the Materials Project, relaxed with GGA-PBE.
Neutral-atom scattering factors, no anomalous dispersion.

Structural model:
```
8
Lattice="5.1689 0.0000 0.0000 -2.5844 4.4764 0.0000 0.0000 0.0000 4.1599" Properties=species:S:1:pos:R:3 pbc="T T T"
Fe 0.0000 2.9843 1.0400
Fe 2.5844 1.4921 3.1199
Cu 0.0000 1.4931 3.1199
Cu -1.2914 3.7298 3.1199
Cu 1.2931 0.7465 1.0400
Cu 1.2914 3.7298 3.1199
Cu 3.8758 0.7465 1.0400
Cu 2.5844 2.9833 1.0400
```

Most intense lines, 2θ from 10° to 90°, by intensity:
- 2θ = 46.0°, 1.971 Å, I 100
- 2θ = 43.5°, 2.080 Å, I 26
- 2θ = 40.3°, 2.238 Å, I 25
- 2θ = 89.2°, 1.098 Å, I 17
- 2θ = 81.7°, 1.179 Å, I 16
- 2θ = 73.3°, 1.292 Å, I 15
- 2θ = 60.8°, 1.524 Å, I 14
- 2θ = 87.1°, 1.119 Å, I 2